ZrFeP3PbO12: simulated powder diffraction line list (Cu Ka), based on a crystal structure in Alexandria, relaxed with GGA+U.
Peak positions follow from Bragg's law for the DFT cell and can differ from measured ones.

Top 10 peaks for 10 to 80 degrees two-theta, in order of rising 2θ:
2θ 13.86, rel. 28.0
2θ 20.22, rel. 100.0
2θ 23.21, rel. 26.6
2θ 24.60, rel. 22.7
2θ 30.55, rel. 94.8
2θ 32.05, rel. 22.0
2θ 35.40, rel. 32.7
2θ 42.44, rel. 24.4
2θ 47.45, rel. 31.3
2θ 60.57, rel. 23.0

Cell and atoms:
```
ZrFeP3PbO12
1.0
4.391 2.535 7.850
-4.391 2.535 7.850
0.000 -5.071 7.850
Zr Fe P Pb O
2 2 6 2 24
direct
0.000 0.000 0.000
0.500 0.500 0.500
0.199 0.199 0.199
0.699 0.699 0.699
0.093 0.823 0.398
0.323 0.593 0.898
0.398 0.093 0.823
0.593 0.898 0.323
0.823 0.398 0.093
0.898 0.323 0.593
0.341 0.341 0.341
0.841 0.841 0.841
0.071 0.847 0.233
0.074 0.295 0.419
0.115 0.990 0.369
0.145 0.764 0.929
0.233 0.071 0.847
0.264 0.645 0.429
0.295 0.419 0.074
0.347 0.571 0.733
0.369 0.115 0.990
0.419 0.074 0.295
0.429 0.264 0.645
0.490 0.615 0.869
0.571 0.733 0.347
0.574 0.919 0.795
0.615 0.869 0.490
0.645 0.429 0.264
0.733 0.347 0.571
0.764 0.929 0.145
0.795 0.574 0.919
0.847 0.233 0.071
0.869 0.490 0.615
0.919 0.795 0.574
0.929 0.145 0.764
0.990 0.369 0.115
```